Diffraction record for PrH6Pd5. The PXRD pattern is theoretical, not measured: it uses a cell relaxed with PBE and Cu Kα, 1.54184 Å.
Peak positions follow from Bragg's law for the DFT cell and can differ from measured ones.

Crystal structure
a = 4.686 Å, b = 4.815 Å, c = 6.047 Å
α = 88.36°, β = 73.26°, γ = 86.60°
Space group P-1 (No. 2)
Inequivalent atoms, fractional coordinates:
1 Pr 0.000 0.000 0.000 (multiplicity 1)
2 H 0.007 0.749 0.472 (multiplicity 2)
3 H 0.426 0.271 0.785 (multiplicity 2)
4 H 0.433 0.723 0.767 (multiplicity 2)
5 Pd 0.190 0.508 0.652 (multiplicity 2)
6 Pd 0.306 0.010 0.352 (multiplicity 2)
7 Pd 0.500 0.500 0.000 (multiplicity 1)

The 10 most intense peaks (10 to 80 degrees two-theta), low angle first:
Position (°2θ)  Rel. int.  (hkl)
33.65  100  1 1 -1
34.64  92  -1 1 1
36.09  86  1 1 2
37.42  75  0 2 0
37.61  77  1 -1 2
38.71  68  2 0 1
47.08  37  0 0 3
53.12  27  2 2 1
56.71  23  2 -2 1
58.92  17  2 0 -2

***

Diffraction record for MgNpGa4. The PXRD pattern is theoretical, not measured: it uses a cell relaxed with PBE and Cu Kα, 1.54184 Å.
Peak positions follow from Bragg's law for the DFT cell and can differ from measured ones.

Crystal structure
a = 2.914 Å, b = 4.707 Å, c = 8.207 Å
α = 90.00°, β = 90.00°, γ = 90.00°
Space group Pmmm (No. 47)
Inequivalent atoms, fractional coordinates:
1 Mg 0.000 0.000 0.000 (multiplicity 1)
2 Np 0.000 0.500 0.500 (multiplicity 1)
3 Ga 0.500 0.000 0.324 (multiplicity 2)
4 Ga 0.500 0.500 0.160 (multiplicity 2)

The 10 most intense peaks (10 to 80 degrees two-theta), low angle first:
Position (°2θ)  Rel. int.  (hkl)
10.78  69  0 0 1
18.85  24  0 1 0
28.86  22  0 1 2
37.91  100  1 0 2
38.04  61  0 1 3
38.24  30  0 2 0
54.91  23  1 2 2
68.59  17  0 0 6
68.96  22  0 3 3
76.83  15  2 1 3